The following is a computed X-ray diffraction stick pattern of CdSnO3. It was derived from a cell relaxed with PBE, using Cu Kα (λ = 1.5418 Å).
Peak positions follow from Bragg's law for the DFT cell and can differ from measured ones.

Structural model:
Unit cell a=4.0574 b=4.0574 c=4.0574 alpha=90.00 beta=90.00 gamma=90.00
Space group Pm-3m (No. 221)
Inequivalent atoms, fractional coordinates:
Cd: 0.0000 0.0000 0.0000 (multiplicity 1)
Sn: 0.5000 0.5000 0.5000 (multiplicity 1)
O: 0.0000 0.5000 0.5000 (multiplicity 3)

The 8 most intense peaks (2θ = 15–90°), in order of rising 2θ:
index, Position (°2θ), d_spacing, I (rel.)
1 0 0, 21.9, 4.057, 14
1 1 0, 31.2, 2.869, 1000
1 1 1, 38.4, 2.343, 13
2 0 0, 44.7, 2.029, 308
2 1 1, 55.5, 1.656, 401
2 2 0, 65.0, 1.435, 189
3 1 0, 73.9, 1.283, 176
2 2 2, 82.3, 1.171, 65